[1]
Diffraction record for FeRe2W. The X-ray powder pattern is simulated, not measured: it uses a structure optimized by DFT (PBE) and CuKα.
Neutral-atom scattering factors, no anomalous dispersion.

Structural model:
```
data_FeRe2W
_space_group_name_H-M_alt 'C m m m'
_space_group_IT_number 65
_space_group_name_Hall '-C 2 2'
_cell_length_a 3.135
_cell_length_b 4.349
_cell_length_c 8.611
_cell_angle_alpha 90.00
_cell_angle_beta 90.00
_cell_angle_gamma 90.00
loop_
_atom_site_label
_atom_site_type_symbol
_atom_site_fract_x
_atom_site_fract_y
_atom_site_fract_z
Fe1 Fe 0.000 0.000 0.000
Re1 Re 0.000 0.500 0.240
W1 W 0.000 0.000 0.500
```

Most intense lines, 2θ from 10° to 90°, low angle first:
h k l	Position (°2θ)	intensity
0 0 1	10.3	17
1 1 2	41.2	100
0 2 0	41.5	25
0 0 4	42.0	23
2 0 0	58.9	9
0 2 4	60.5	16
2 2 0	74.6	9
1 3 2	75.6	17
1 1 6	76.2	15
2 2 4	89.5	11

[2]
Diffraction record for Fe6ReW. The X-ray powder pattern is simulated, not measured: it uses a structure optimized by DFT (PBE) and CuKα.
Neutral-atom scattering factors, no anomalous dispersion.

Structural model:
```
data_Fe6ReW
_space_group_name_H-M_alt 'C m m m'
_space_group_IT_number 65
_space_group_name_Hall '-C 2 2'
_cell_length_a 7.176
_cell_length_b 10.238
_cell_length_c 10.244
_cell_angle_alpha 90.00
_cell_angle_beta 90.00
_cell_angle_gamma 90.00
loop_
_atom_site_label
_atom_site_type_symbol
_atom_site_fract_x
_atom_site_fract_y
_atom_site_fract_z
Fe1 Fe 0.000 0.000 0.000
Fe2 Fe 0.000 0.000 0.500
Fe3 Fe 0.000 0.248 0.248
Fe4 Fe 0.000 0.500 0.000
Fe5 Fe 0.000 0.500 0.500
Fe6 Fe 0.247 0.124 0.374
Fe7 Fe 0.248 0.126 0.124
Re1 Re 0.000 0.000 0.252
Re2 Re 0.000 0.252 0.000
W1 W 0.000 0.252 0.500
W2 W 0.000 0.500 0.252
```

Most intense lines, 2θ from 10° to 90°, low angle first:
h k l	Position (°2θ)	intensity
0 2 2	24.6	26
2 0 0	24.8	13
0 4 0	35.0	11
2 2 2	35.2	21
2 4 0	43.4	100
0 4 4	50.4	32
4 0 0	50.9	15
0 8 0	74.1	10
4 4 4	74.5	19
2 8 4	89.9	24

[3]
Diffraction record for FeRe2W. The X-ray powder pattern is simulated, not measured: it uses a structure optimized by DFT (PBE) and CuKα.
Neutral-atom scattering factors, no anomalous dispersion.

Structural model:
```
data_FeRe2W
_space_group_name_H-M_alt 'P m m 2'
_space_group_IT_number 25
_space_group_name_Hall 'P 2 -2'
_cell_length_a 2.752
_cell_length_b 3.837
_cell_length_c 5.474
_cell_angle_alpha 90.00
_cell_angle_beta 90.00
_cell_angle_gamma 90.00
loop_
_atom_site_label
_atom_site_type_symbol
_atom_site_fract_x
_atom_site_fract_y
_atom_site_fract_z
Fe1 Fe 0.000 0.000 0.000
Re1 Re 0.000 0.000 0.488
Re2 Re 0.500 0.500 0.243
W1 W 0.500 0.500 0.759
```

Most intense lines, 2θ from 10° to 90°, low angle first:
h k l	Position (°2θ)	intensity
0 0 1	16.2	14
0 1 1	28.4	14
1 1 0	40.3	100
0 1 2	40.5	98
1 0 2	46.8	65
0 2 0	47.4	32
1 2 2	68.8	41
2 1 2	82.4	25
1 1 4	82.7	24
1 3 0	83.4	25

[4]
Diffraction record for YFeRe. The X-ray powder pattern is simulated, not measured: it uses a structure optimized by DFT (PBE) and CuKα.
Neutral-atom scattering factors, no anomalous dispersion.

Structural model:
```
data_YFeRe
_space_group_name_H-M_alt 'I m m a'
_space_group_IT_number 74
_space_group_name_Hall '-I 2b 2'
_cell_length_a 5.165
_cell_length_b 5.340
_cell_length_c 7.636
_cell_angle_alpha 90.00
_cell_angle_beta 90.00
_cell_angle_gamma 90.00
loop_
_atom_site_label
_atom_site_type_symbol
_atom_site_fract_x
_atom_site_fract_y
_atom_site_fract_z
Y1 Y 0.000 0.250 0.124
Fe1 Fe 0.000 0.000 0.500
Re1 Re 0.250 0.250 0.750
```

Most intense lines, 2θ from 10° to 90°, low angle first:
h k l	Position (°2θ)	intensity
0 1 1	20.3	67
0 0 2	23.3	25
0 2 0	33.6	32
0 1 3	39.2	56
1 2 1	39.8	26
2 1 1	40.6	100
0 2 2	41.3	45
2 0 2	42.2	43
2 3 1	64.8	25
2 2 4	70.8	34

[5]
Diffraction record for YFe11Re. The X-ray powder pattern is simulated, not measured: it uses a structure optimized by DFT (PBE) and CuKα.
Neutral-atom scattering factors, no anomalous dispersion.

Structural model:
```
data_YFe11Re
_space_group_name_H-M_alt 'I m m 2'
_space_group_IT_number 44
_space_group_name_Hall 'I 2 -2'
_cell_length_a 4.679
_cell_length_b 8.420
_cell_length_c 8.520
_cell_angle_alpha 90.00
_cell_angle_beta 90.00
_cell_angle_gamma 90.00
loop_
_atom_site_label
_atom_site_type_symbol
_atom_site_fract_x
_atom_site_fract_y
_atom_site_fract_z
Y1 Y 0.000 0.000 0.000
Fe1 Fe 0.000 0.000 0.355
Fe2 Fe 0.000 0.277 0.493
Fe3 Fe 0.000 0.359 0.994
Fe4 Fe 0.000 0.500 0.265
Fe5 Fe 0.000 0.500 0.725
Fe6 Fe 0.250 0.250 0.245
Re1 Re 0.000 0.000 0.632
```

Most intense lines, 2θ from 10° to 90°, low angle first:
h k l	Position (°2θ)	intensity
0 1 1	14.8	46
1 0 1	21.7	28
1 0 3	37.0	31
1 3 0	37.4	36
0 4 0	43.0	100
1 3 2	43.2	41
2 0 2	44.2	28
2 2 0	44.3	47
1 1 4	48.2	41
2 2 2	49.4	44

[6]
Diffraction record for ZnFe4Re. The X-ray powder pattern is simulated, not measured: it uses a structure optimized by DFT (PBE) and CuKα.
Neutral-atom scattering factors, no anomalous dispersion.

Structural model:
```
data_ZnFe4Re
_space_group_name_H-M_alt 'F -4 3 m'
_space_group_IT_number 216
_space_group_name_Hall 'F -4 2 3'
_cell_length_a 6.625
_cell_length_b 6.625
_cell_length_c 6.625
_cell_angle_alpha 90.00
_cell_angle_beta 90.00
_cell_angle_gamma 90.00
loop_
_atom_site_label
_atom_site_type_symbol
_atom_site_fract_x
_atom_site_fract_y
_atom_site_fract_z
Zn1 Zn 0.000 0.000 0.000
Fe1 Fe 0.125 0.125 0.625
Re1 Re 0.250 0.250 0.250
```

Most intense lines, 2θ from 10° to 90°, low angle first:
h k l	Position (°2θ)	intensity
1 1 1	23.3	20
2 0 0	26.9	13
2 2 0	38.4	55
3 1 1	45.4	100
2 2 2	47.5	20
3 3 1	61.0	5
4 2 0	62.7	6
4 2 2	69.5	19
3 3 3	74.4	29
4 4 0	82.3	20

[7]
Diffraction record for ZrFeRe. The X-ray powder pattern is simulated, not measured: it uses a structure optimized by DFT (PBE) and CuKα.
Neutral-atom scattering factors, no anomalous dispersion.

Structural model:
```
data_ZrFeRe
_space_group_name_H-M_alt 'I m m a'
_space_group_IT_number 74
_space_group_name_Hall '-I 2b 2'
_cell_length_a 5.081
_cell_length_b 5.142
_cell_length_c 7.434
_cell_angle_alpha 90.00
_cell_angle_beta 90.00
_cell_angle_gamma 90.00
loop_
_atom_site_label
_atom_site_type_symbol
_atom_site_fract_x
_atom_site_fract_y
_atom_site_fract_z
Zr1 Zr 0.000 0.250 0.125
Fe1 Fe 0.250 0.250 0.750
Re1 Re 0.000 0.000 0.500
```

Most intense lines, 2θ from 10° to 90°, low angle first:
h k l	Position (°2θ)	intensity
1 0 1	21.2	60
0 0 2	23.9	25
2 0 0	35.3	29
1 0 3	40.5	66
1 2 1	41.2	100
2 1 1	41.5	24
0 2 2	42.8	43
2 0 2	43.1	41
3 2 1	67.4	23
2 2 4	73.0	32

[8]
Diffraction record for ZrFe9Re2. The X-ray powder pattern is simulated, not measured: it uses a structure optimized by DFT (PBE) and CuKα.
Neutral-atom scattering factors, no anomalous dispersion.

Structural model:
```
data_ZrFe9Re2
_space_group_name_H-M_alt 'R -3 m'
_space_group_IT_number 166
_space_group_name_Hall '-R 3 2"'
_cell_length_a 4.7284
_cell_length_b 4.7284
_cell_length_c 23.3927
_cell_angle_alpha 90.00
_cell_angle_beta 90.00
_cell_angle_gamma 120.00
loop_
_atom_site_label
_atom_site_type_symbol
_atom_site_fract_x
_atom_site_fract_y
_atom_site_fract_z
Zr1 Zr 0.0000 0.0000 0.0000
Fe1 Fe 0.0000 0.0000 0.3334
Fe2 Fe 0.0000 0.0000 0.5000
Fe3 Fe 0.0039 0.5020 0.9132
Re1 Re 0.0000 0.0000 0.1476
```

Most intense lines, 2θ from 10° to 90°, low angle first:
h k l	Position (°2θ)	intensity
0 0 3	11.3	47
1 0 7	34.6	42
0 1 8	37.8	16
1 1 0	38.1	49
0 2 1	44.4	29
1 0 10	44.6	15
1 1 6	44.8	100
0 2 4	47.0	18
0 3 6	73.5	22
2 2 0	81.4	18

[9]
Diffraction record for Fe5Rh. The X-ray powder pattern is simulated, not measured: it uses a structure optimized by DFT (PBE) and CuKα.
Neutral-atom scattering factors, no anomalous dispersion.

Structural model:
```
data_Fe5Rh
_space_group_name_H-M_alt 'C m m m'
_space_group_IT_number 65
_space_group_name_Hall '-C 2 2'
_cell_length_a 4.113
_cell_length_b 8.795
_cell_length_c 4.109
_cell_angle_alpha 90.00
_cell_angle_beta 90.00
_cell_angle_gamma 90.00
loop_
_atom_site_label
_atom_site_type_symbol
_atom_site_fract_x
_atom_site_fract_y
_atom_site_fract_z
Fe1 Fe 0.000 0.000 0.000
Fe2 Fe 0.000 0.168 0.500
Fe3 Fe 0.000 0.329 0.000
Rh1 Rh 0.000 0.500 0.500
```

Most intense lines, 2θ from 10° to 90°, low angle first:
h k l	Position (°2θ)	intensity
0 0 1	21.6	2
1 1 0	23.9	3
0 2 1	29.8	2
1 1 1	32.4	4
1 3 1	43.9	100
2 0 0	44.1	49
0 6 0	63.5	8
2 0 2	64.1	15
2 6 0	80.5	15
3 3 1	80.9	29

[10]
Diffraction record for Fe5Rh. The X-ray powder pattern is simulated, not measured: it uses a structure optimized by DFT (PBE) and CuKα.
Neutral-atom scattering factors, no anomalous dispersion.

Structural model:
```
data_Fe5Rh
_space_group_name_H-M_alt 'P -3 m 1'
_space_group_IT_number 164
_space_group_name_Hall '-P 3 2"'
_cell_length_a 4.1120
_cell_length_b 4.1120
_cell_length_c 5.0769
_cell_angle_alpha 90.00
_cell_angle_beta 90.00
_cell_angle_gamma 120.00
loop_
_atom_site_label
_atom_site_type_symbol
_atom_site_fract_x
_atom_site_fract_y
_atom_site_fract_z
Fe1 Fe 0.0000 0.0000 0.0000
Fe2 Fe 0.3333 0.6667 0.3238
Fe3 Fe 0.3333 0.6667 0.8377
Rh1 Rh 0.0000 0.0000 0.5000
```

Most intense lines, 2θ from 10° to 90°, low angle first:
h k l	Position (°2θ)	intensity
0 0 1	17.5	3
1 0 0	25.0	6
1 0 1	30.7	9
1 0 2	43.8	100
1 1 0	44.0	97
0 2 1	54.6	2
0 2 2	63.9	30
0 1 4	80.3	15
2 1 2	80.8	29
3 0 0	81.0	14

[11]
Diffraction record for Fe4Rh3. The X-ray powder pattern is simulated, not measured: it uses a structure optimized by DFT (PBE) and CuKα.
Neutral-atom scattering factors, no anomalous dispersion.

Structural model:
```
data_Fe4Rh3
_space_group_name_H-M_alt 'R -3 m'
_space_group_IT_number 166
_space_group_name_Hall '-R 3 2"'
_cell_length_a 4.2103
_cell_length_b 4.2103
_cell_length_c 20.0600
_cell_angle_alpha 90.00
_cell_angle_beta 90.00
_cell_angle_gamma 120.00
loop_
_atom_site_label
_atom_site_type_symbol
_atom_site_fract_x
_atom_site_fract_y
_atom_site_fract_z
Fe1 Fe 0.0000 0.0000 0.1152
Fe2 Fe 0.0000 0.0000 0.3695
Rh1 Rh 0.0000 0.0000 0.2471
Rh2 Rh 0.0000 0.0000 0.5000
```

Most intense lines, 2θ from 10° to 90°, low angle first:
h k l	Position (°2θ)	intensity
0 0 3	13.2	18
1 0 1	24.8	13
0 1 2	26.0	13
1 0 7	40.0	15
1 1 0	43.0	100
0 1 8	43.8	87
2 0 8	63.0	28
3 0 0	78.7	15
1 2 8	79.3	28
1 0 16	81.1	11

[12]
Diffraction record for FeRh2. The X-ray powder pattern is simulated, not measured: it uses a structure optimized by DFT (PBE) and CuKα.
Neutral-atom scattering factors, no anomalous dispersion.

Structural model:
```
data_FeRh2
_space_group_name_H-M_alt 'C m c m'
_space_group_IT_number 63
_space_group_name_Hall '-C 2c 2'
_cell_length_a 8.088
_cell_length_b 4.656
_cell_length_c 4.304
_cell_angle_alpha 90.00
_cell_angle_beta 90.00
_cell_angle_gamma 90.00
loop_
_atom_site_label
_atom_site_type_symbol
_atom_site_fract_x
_atom_site_fract_y
_atom_site_fract_z
Fe1 Fe 0.000 0.164 0.250
Rh1 Rh 0.164 0.329 0.750
```

Most intense lines, 2θ from 10° to 90°, low angle first:
h k l	Position (°2θ)	intensity
1 1 1	30.4	7
0 2 0	38.6	25
0 0 2	42.0	26
3 1 1	44.2	100
0 2 2	58.4	14
3 3 0	69.9	11
3 1 3	78.2	17
6 0 2	84.9	6
3 3 2	85.1	13
6 2 1	86.4	9

[13]
Diffraction record for FeRh3. The X-ray powder pattern is simulated, not measured: it uses a structure optimized by DFT (PBE) and CuKα.
Neutral-atom scattering factors, no anomalous dispersion.

Structural model:
```
data_FeRh3
_space_group_name_H-M_alt 'P m m 2'
_space_group_IT_number 25
_space_group_name_Hall 'P 2 -2'
_cell_length_a 2.726
_cell_length_b 4.342
_cell_length_c 4.662
_cell_angle_alpha 90.00
_cell_angle_beta 90.00
_cell_angle_gamma 90.00
loop_
_atom_site_label
_atom_site_type_symbol
_atom_site_fract_x
_atom_site_fract_y
_atom_site_fract_z
Fe1 Fe 0.000 0.000 0.000
Rh1 Rh 0.000 0.500 0.331
Rh2 Rh 0.500 0.000 0.494
Rh3 Rh 0.500 0.500 0.833
```

Most intense lines, 2θ from 10° to 90°, low angle first:
h k l	Position (°2θ)	intensity
1 0 1	38.2	25
0 0 2	38.6	13
0 2 0	41.6	38
1 1 1	43.8	100
0 1 2	44.1	47
1 2 1	57.8	14
1 0 3	69.6	16
1 3 1	77.4	18
1 2 3	84.5	18
2 1 2	85.5	13

[14]
Diffraction record for Fe4Rh5. The X-ray powder pattern is simulated, not measured: it uses a structure optimized by DFT (PBE) and CuKα.
Neutral-atom scattering factors, no anomalous dispersion.

Structural model:
```
data_Fe4Rh5
_space_group_name_H-M_alt 'P 63/m c m'
_space_group_IT_number 193
_space_group_name_Hall '-P 6c 2'
_cell_length_a 7.4047
_cell_length_b 7.4047
_cell_length_c 5.1963
_cell_angle_alpha 90.00
_cell_angle_beta 90.00
_cell_angle_gamma 120.00
loop_
_atom_site_label
_atom_site_type_symbol
_atom_site_fract_x
_atom_site_fract_y
_atom_site_fract_z
Fe1 Fe 0.0000 0.0000 0.0000
Fe2 Fe 0.0000 0.3465 0.2500
Rh1 Rh 0.0000 0.3176 0.7500
Rh2 Rh 0.3333 0.6667 0.0000
```

Most intense lines, 2θ from 10° to 90°, low angle first:
h k l	Position (°2θ)	intensity
1 1 1	29.6	13
0 0 2	34.5	5
3 0 0	42.3	100
1 1 2	42.5	93
3 0 2	55.7	7
2 2 2	61.5	29
0 0 4	72.8	6
3 3 0	77.3	15
4 1 2	77.5	28
3 0 4	88.0	23